Structure and calculated X-ray diffraction stick pattern of CaPmHg2 (a PBE-relaxed structure; Cu Kα X-rays).
Neutral-atom scattering factors, no anomalous dispersion.

Largest 10 diffraction maxima, in order of rising 2θ, 10 to 90 degrees two-theta:
| 2theta | I/Imax | h k l |
| --- | --- | --- |
| 20.25 | 7.1 | 1 1 1 |
| 23.42 | 14.9 | 2 0 0 |
| 33.37 | 100.0 | 2 2 0 |
| 41.17 | 5.0 | 2 2 2 |
| 47.91 | 18.3 | 4 0 0 |
| 53.99 | 7.0 | 4 2 0 |
| 59.64 | 38.0 | 4 2 2 |
| 70.08 | 11.8 | 4 4 0 |
| 79.87 | 16.7 | 6 2 0 |
| 89.37 | 4.4 | 4 4 4 |

Cell and atoms:
```
data_CaPmHg2
_space_group_name_H-M_alt 'F m -3 m'
_space_group_IT_number 225
_space_group_name_Hall '-F 4 2 3'
_cell_length_a 7.5953
_cell_length_b 7.5953
_cell_length_c 7.5953
_cell_angle_alpha 90.00
_cell_angle_beta 90.00
_cell_angle_gamma 90.00
loop_
_atom_site_label
_atom_site_fract_x
_atom_site_fract_y
_atom_site_fract_z
_atom_site_occupancy
Ca1 0.0000 0.0000 0.0000 1
Pm1 0.0000 0.0000 0.5000 1
Hg1 0.2500 0.2500 0.2500 1
```